No. 1
Starting from a DFT-relaxed cell (GGA-PBE, the Materials Project), the X-ray diffraction stick pattern of MgSc2S4 was computed for copper Kα.
Kinematic intensities with the Lorentz-polarization factor, no thermal factor.

Most intense lines, 2θ = 5–70°, low angle first:
| Position (°2θ) | I/Imax |
| --- | --- |
| 14.34 | 42 |
| 23.51 | 10 |
| 27.65 | 63 |
| 33.49 | 98 |
| 43.96 | 36 |
| 48.10 | 100 |
| 59.88 | 19 |
| 67.19 | 11 |

Cell lengths 7.567, 7.567, 7.567 Å; angles 60.00, 60.00, 60.00 degrees
Sites, in units of the cell vectors:
Mg  0.125  0.125  0.125
Mg  0.875  0.875  0.875
Sc  0.000  0.500  0.500
Sc  0.500  0.000  0.500
Sc  0.500  0.500  0.000
Sc  0.500  0.500  0.500
S  0.258  0.258  0.258
S  0.258  0.258  0.726
S  0.258  0.726  0.258
S  0.274  0.742  0.742
S  0.726  0.258  0.258
S  0.742  0.274  0.742
S  0.742  0.742  0.274
S  0.742  0.742  0.742

No. 2
Starting from a DFT-relaxed cell (GGA-PBE, the Materials Project), the X-ray diffraction stick pattern of CaH16O10 was computed for copper Kα.
Kinematic intensities with the Lorentz-polarization factor, no thermal factor.

Most intense lines, 2θ = 5–70°, low angle first:
| Position (°2θ) | I/Imax |
| --- | --- |
| 14.39 | 38 |
| 14.90 | 100 |
| 20.54 | 34 |
| 23.56 | 34 |
| 26.85 | 34 |
| 30.06 | 45 |
| 33.25 | 31 |
| 46.49 | 37 |

Cell lengths 6.154, 6.237, 12.047 Å; angles 80.98, 88.01, 88.96 degrees
Sites, in units of the cell vectors:
Ca  0.000  0.000  0.000
Ca  0.028  0.002  0.538
H  0.061  0.700  0.848
H  0.096  0.321  0.341
H  0.107  0.649  0.183
H  0.200  0.254  0.719
H  0.271  0.926  0.344
H  0.274  0.571  0.088
H  0.299  0.366  0.602
H  0.303  0.788  0.712
H  0.312  0.639  0.887
H  0.323  0.344  0.405
H  0.334  0.682  0.404
H  0.371  0.226  0.092
H  0.376  0.303  0.887
H  0.393  0.068  0.850
H  0.408  0.698  0.601
H  0.441  0.979  0.108
H  0.574  0.994  0.634
H  0.616  0.687  0.083
H  0.637  0.240  0.618
H  0.657  0.252  0.408
H  0.664  0.724  0.882
H  0.717  0.617  0.364
H  0.718  0.320  0.104
H  0.719  0.389  0.901
H  0.728  0.783  0.182
H  0.738  0.931  0.789
H  0.742  0.079  0.330
H  0.743  0.592  0.579
H  0.892  0.348  0.803
H  0.958  0.368  0.125
H  0.959  0.726  0.347
H  0.987  0.526  0.612
O  0.119  0.630  0.104
O  0.158  0.293  0.639
O  0.204  0.239  0.388
O  0.208  0.756  0.846
O  0.211  0.795  0.391
O  0.292  0.188  0.854
O  0.309  0.075  0.107
O  0.350  0.832  0.631
O  0.494  0.470  0.056
O  0.501  0.497  0.930
O  0.509  0.487  0.433
O  0.516  0.476  0.558
O  0.676  0.826  0.104
O  0.696  0.090  0.648
O  0.745  0.115  0.406
O  0.770  0.846  0.863
O  0.829  0.690  0.307
O  0.858  0.245  0.129
O  0.866  0.319  0.884
O  0.886  0.653  0.599

No. 3
Starting from a DFT-relaxed cell (GGA-PBE, the Materials Project), the X-ray diffraction stick pattern of Ge5Te8As2 was computed for copper Kα.
Kinematic intensities with the Lorentz-polarization factor, no thermal factor.

Most intense lines, 2θ = 5–70°, low angle first:
| Position (°2θ) | I/Imax |
| --- | --- |
| 26.40 | 8 |
| 29.53 | 100 |
| 41.42 | 28 |
| 43.07 | 40 |
| 44.26 | 9 |
| 53.09 | 19 |
| 61.29 | 9 |
| 68.30 | 8 |

Cell lengths 4.200, 4.200, 27.231 Å; angles 90.00, 90.00, 120.00 degrees
Sites, in units of the cell vectors:
Ge  0.000  0.000  0.000
Ge  0.333  0.667  0.129
Ge  0.333  0.667  0.741
Ge  0.667  0.333  0.259
Ge  0.667  0.333  0.871
Te  0.000  0.000  0.193
Te  0.000  0.000  0.807
Te  0.333  0.667  0.322
Te  0.333  0.667  0.554
Te  0.333  0.667  0.936
Te  0.667  0.333  0.064
Te  0.667  0.333  0.446
Te  0.667  0.333  0.678
As  0.000  0.000  0.390
As  0.000  0.000  0.610

No. 4
Starting from a DFT-relaxed cell (GGA-PBE, the Materials Project), the X-ray diffraction stick pattern of PrB4 was computed for copper Kα.
Kinematic intensities with the Lorentz-polarization factor, no thermal factor.

Most intense lines, 2θ = 5–70°, low angle first:
| Position (°2θ) | I/Imax |
| --- | --- |
| 21.44 | 55 |
| 24.49 | 37 |
| 27.43 | 75 |
| 32.77 | 55 |
| 35.08 | 100 |
| 51.85 | 30 |
| 52.36 | 26 |
| 56.74 | 34 |

Cell lengths 7.270, 7.270, 4.144 Å; angles 90.00, 90.00, 90.00 degrees
Sites, in units of the cell vectors:
Pr  0.183  0.317  0.000
Pr  0.317  0.817  0.000
Pr  0.683  0.183  0.000
Pr  0.817  0.683  0.000
B  0.000  0.000  0.205
B  0.000  0.000  0.795
B  0.039  0.826  0.500
B  0.088  0.588  0.500
B  0.174  0.039  0.500
B  0.326  0.539  0.500
B  0.412  0.088  0.500
B  0.461  0.326  0.500
B  0.500  0.500  0.205
B  0.500  0.500  0.795
B  0.539  0.674  0.500
B  0.588  0.912  0.500
B  0.674  0.461  0.500
B  0.826  0.961  0.500
B  0.912  0.412  0.500
B  0.961  0.174  0.500